[1]
Theoretical PXRD pattern
Compound: Rb2Pd3Se4
Radiation: copper Kα
Structure: a crystal structure in the Materials Project, relaxed with GGA-PBE
Neutral-atom scattering factors, no anomalous dispersion.

Crystal structure
Unit cell a=6.482 b=6.538 c=14.447 alpha=83.61 beta=77.04 gamma=60.28
Fractional coordinates of all 18 atoms:
Rb 0.000 0.000 0.000
Rb 0.094 0.506 0.792
Rb 0.254 0.498 0.496
Rb 0.853 0.001 0.292
Pd 0.174 0.008 0.644
Pd 0.413 0.504 0.145
Pd 0.419 0.010 0.147
Pd 0.666 0.508 0.649
Pd 0.678 0.000 0.645
Pd 0.924 0.496 0.150
Se 0.197 0.335 0.266
Se 0.317 0.328 0.028
Se 0.447 0.838 0.760
Se 0.518 0.679 0.263
Se 0.560 0.842 0.531
Se 0.647 0.666 0.028
Se 0.788 0.165 0.759
Se 0.886 0.166 0.531

Main lines, in order of falling intensity (2θ from 10° to 90°):
2theta  I_rel
12.58  100
35.38  47
33.60  39
27.47  38
39.89  32
50.65  29
56.28  28
31.79  25
34.31  24
41.06  24



[2]
Theoretical PXRD pattern
Compound: Rb2U6Pd4Se17
Radiation: copper Kα
Structure: a crystal structure in the Materials Project, relaxed with GGA-PBE
Neutral-atom scattering factors, no anomalous dispersion.

Crystal structure
Unit cell a=10.730 b=10.730 c=13.432 alpha=90.00 beta=90.00 gamma=90.00
Fractional coordinates of all 58 atoms:
Rb 0.000 0.000 0.221
Rb 0.000 0.000 0.779
Rb 0.500 0.500 0.279
Rb 0.500 0.500 0.721
U 0.000 0.500 0.250
U 0.000 0.500 0.750
U 0.118 0.241 0.500
U 0.241 0.882 0.500
U 0.259 0.382 0.000
U 0.382 0.741 0.000
U 0.500 0.000 0.250
U 0.500 0.000 0.750
U 0.618 0.259 0.000
U 0.741 0.618 0.000
U 0.759 0.118 0.500
U 0.882 0.759 0.500
Pd 0.068 0.637 0.000
Pd 0.137 0.568 0.500
Pd 0.363 0.068 0.000
Pd 0.432 0.137 0.500
Pd 0.568 0.863 0.500
Pd 0.637 0.932 0.000
Pd 0.863 0.432 0.500
Pd 0.932 0.363 0.000
Se 0.000 0.000 0.500
Se 0.079 0.289 0.132
Se 0.079 0.289 0.868
Se 0.091 0.725 0.366
Se 0.091 0.725 0.634
Se 0.211 0.421 0.368
Se 0.211 0.421 0.632
Se 0.225 0.591 0.134
Se 0.225 0.591 0.866
Se 0.275 0.091 0.366
Se 0.275 0.091 0.634
Se 0.289 0.921 0.132
Se 0.289 0.921 0.868
Se 0.409 0.225 0.134
Se 0.409 0.225 0.866
Se 0.421 0.789 0.368
Se 0.421 0.789 0.632
Se 0.500 0.500 0.000
Se 0.579 0.211 0.368
Se 0.579 0.211 0.632
Se 0.591 0.775 0.134
Se 0.591 0.775 0.866
Se 0.711 0.079 0.132
Se 0.711 0.079 0.868
Se 0.725 0.909 0.366
Se 0.725 0.909 0.634
Se 0.775 0.409 0.134
Se 0.775 0.409 0.866
Se 0.789 0.579 0.368
Se 0.789 0.579 0.632
Se 0.909 0.275 0.366
Se 0.909 0.275 0.634
Se 0.921 0.711 0.132
Se 0.921 0.711 0.868

Main lines, in order of falling intensity (2θ from 10° to 90°):
2theta  I_rel
33.13  100
11.66  54
21.20  44
10.55  41
37.48  40
42.94  35
32.92  29
13.18  23
35.71  22
40.50  21



[3]
Theoretical PXRD pattern
Compound: Ti2RePd
Radiation: copper Kα
Structure: a crystal structure in the Materials Project, relaxed with GGA-PBE
Neutral-atom scattering factors, no anomalous dispersion.

Crystal structure
Unit cell a=4.439 b=4.439 c=4.439 alpha=60.00 beta=60.00 gamma=60.00
Fractional coordinates of all 4 atoms:
Ti 0.250 0.250 0.250
Ti 0.750 0.750 0.750
Re 0.000 0.000 0.000
Pd 0.500 0.500 0.500

Main lines, in order of falling intensity (2θ from 10° to 90°):
2theta  I_rel
40.65  100
28.44  33
73.98  33
58.85  16
66.63  13
88.01  11
50.36  10
24.56  9
48.07  5
64.73  2



[4]
Theoretical PXRD pattern
Compound: Pd3Rh
Radiation: copper Kα
Structure: a crystal structure in the Materials Project, relaxed with GGA-PBE
Neutral-atom scattering factors, no anomalous dispersion.

Crystal structure
Unit cell a=4.799 b=4.799 c=4.799 alpha=131.49 beta=131.49 gamma=71.04
Fractional coordinates of all 4 atoms:
Pd 0.000 0.000 0.000
Pd 0.250 0.750 0.500
Pd 0.750 0.250 0.500
Rh 0.500 0.500 0.000

Main lines, in order of falling intensity (2θ from 10° to 90°):
2theta  I_rel
39.72  100
46.04  33
80.94  24
67.51  20
46.50  16
81.61  12
85.60  11
67.15  10



[5]
Theoretical PXRD pattern
Compound: PdRh
Radiation: copper Kα
Structure: a crystal structure in the Materials Project, relaxed with GGA-PBE
Neutral-atom scattering factors, no anomalous dispersion.

Crystal structure
Unit cell a=4.769 b=4.769 c=4.769 alpha=33.62 beta=33.62 gamma=33.62
Fractional coordinates of all 2 atoms:
Pd 0.000 0.000 0.000
Rh 0.500 0.500 0.500

Main lines, in order of falling intensity (2θ from 10° to 90°):
2theta  I_rel
40.06  100
46.60  48
81.94  27
67.97  15
68.07  15
82.06  9
86.43  8
86.63  3



[6]
Theoretical PXRD pattern
Compound: Tb2PdRh
Radiation: copper Kα
Structure: a crystal structure in the Materials Project, relaxed with GGA-PBE
Neutral-atom scattering factors, no anomalous dispersion.

Crystal structure
Unit cell a=4.924 b=4.924 c=4.924 alpha=60.00 beta=60.00 gamma=60.00
Fractional coordinates of all 4 atoms:
Tb 0.250 0.250 0.250
Tb 0.750 0.750 0.750
Pd 0.000 0.000 0.000
Rh 0.500 0.500 0.500

Main lines, in order of falling intensity (2θ from 10° to 90°):
2theta  I_rel
36.49  100
65.68  35
52.57  17
88.88  16
77.54  11
25.58  4
59.35  2
45.10  1
83.24  1



[7]
Theoretical PXRD pattern
Compound: Tm2PdRh
Radiation: copper Kα
Structure: a crystal structure in the Materials Project, relaxed with GGA-PBE
Neutral-atom scattering factors, no anomalous dispersion.

Crystal structure
Unit cell a=4.845 b=4.845 c=4.845 alpha=60.00 beta=60.00 gamma=60.00
Fractional coordinates of all 4 atoms:
Tm 0.250 0.250 0.250
Tm 0.750 0.750 0.750
Pd 0.000 0.000 0.000
Rh 0.500 0.500 0.500

Main lines, in order of falling intensity (2θ from 10° to 90°):
2theta  I_rel
37.11  100
66.89  35
53.49  17
79.05  11
26.01  6
60.41  3
45.87  2
84.91  1



[8]
Theoretical PXRD pattern
Compound: U2Pd3Rh3
Radiation: copper Kα
Structure: a crystal structure in the Materials Project, relaxed with GGA-PBE
Neutral-atom scattering factors, no anomalous dispersion.

Crystal structure
Unit cell a=3.955 b=4.073 c=8.390 alpha=90.00 beta=90.00 gamma=90.00
Fractional coordinates of all 8 atoms:
U 0.000 0.000 0.243
U 0.000 0.000 0.757
Pd 0.000 0.500 0.000
Pd 0.000 0.500 0.500
Pd 0.500 0.000 0.500
Rh 0.500 0.000 0.000
Rh 0.500 0.500 0.250
Rh 0.500 0.500 0.750

Main lines, in order of falling intensity (2θ from 10° to 90°):
2theta  I_rel
38.30  100
43.13  18
44.49  16
45.89  15
75.85  14
77.79  13
79.81  12
82.00  11
63.69  11
64.79  11



[9]
Theoretical PXRD pattern
Compound: Zn2PdRh
Radiation: copper Kα
Structure: a crystal structure in the Materials Project, relaxed with GGA-PBE
Neutral-atom scattering factors, no anomalous dispersion.

Crystal structure
Unit cell a=4.302 b=4.302 c=4.302 alpha=60.00 beta=60.00 gamma=60.00
Fractional coordinates of all 4 atoms:
Zn 0.250 0.250 0.250
Zn 0.750 0.750 0.750
Pd 0.000 0.000 0.000
Rh 0.500 0.500 0.500

Main lines, in order of falling intensity (2θ from 10° to 90°):
2theta  I_rel
42.00  100
76.75  32
60.91  16
29.36  5
69.04  2
52.07  1



[10]
Theoretical PXRD pattern
Compound: Zr2Pd3Rh3
Radiation: copper Kα
Structure: a crystal structure in the Materials Project, relaxed with GGA-PBE
Neutral-atom scattering factors, no anomalous dispersion.

Crystal structure
Unit cell a=4.012 b=4.046 c=7.926 alpha=90.00 beta=90.00 gamma=90.00
Fractional coordinates of all 8 atoms:
Zr 0.000 0.000 0.247
Zr 0.000 0.000 0.753
Pd 0.000 0.500 0.500
Pd 0.500 0.500 0.249
Pd 0.500 0.500 0.751
Rh 0.000 0.500 0.000
Rh 0.500 0.000 0.000
Rh 0.500 0.000 0.500

Main lines, in order of falling intensity (2θ from 10° to 90°):
2theta  I_rel
38.93  100
44.80  17
45.20  16
45.79  16
78.64  12
79.21  12
80.07  12
83.60  10
65.53  10
65.99  10



[11]
Theoretical PXRD pattern
Compound: Sc2PdRu
Radiation: copper Kα
Structure: a crystal structure in the Materials Project, relaxed with GGA-PBE
Neutral-atom scattering factors, no anomalous dispersion.

Crystal structure
Unit cell a=4.606 b=4.606 c=4.606 alpha=60.00 beta=60.00 gamma=60.00
Fractional coordinates of all 4 atoms:
Sc 0.250 0.250 0.250
Sc 0.750 0.750 0.750
Pd 0.000 0.000 0.000
Ru 0.500 0.500 0.500

Main lines, in order of falling intensity (2θ from 10° to 90°):
2theta  I_rel
39.11  100
70.87  32
27.38  21
56.51  16
84.05  10
63.91  8
48.40  6